Calculated PXRD pattern of Li31Zr2P13 for Cu Kα (weighted mean of Kα1 and Kα2), from DFT lattice parameters and positions (PBE).

Crystal structure
Unit cell a=7.2430 b=4.1852 c=45.3355 alpha=90.00 beta=93.10 gamma=90.00
Space group Cm (No. 8)
One atom of each set of equivalent atoms:
Li 0.0000 0.0000 0.0000
Li 0.9996 0.5000 0.4990
Li 0.0192 0.0000 0.0581
Li 0.0373 0.0000 0.1123
Li 0.0376 0.5000 0.6132
Li 0.0559 0.5000 0.6679
Li 0.0756 0.5000 0.7271
Li 0.0776 0.0000 0.2320
Li 0.1145 0.0000 0.3436
Li 0.1143 0.5000 0.8434
Li 0.1524 0.0000 0.4581
Li 0.1892 0.0000 0.5697
Li 0.1914 0.5000 0.0747
Li 0.2109 0.5000 0.1334
Li 0.2294 0.5000 0.1886
Li 0.2296 0.0000 0.6895
Li 0.2479 0.0000 0.7440
Li 0.2675 0.0000 0.8026
Li 0.2674 0.5000 0.3031
Li 0.3072 0.0000 0.9221
Li 0.3070 0.5000 0.4208
Li 0.3438 0.0000 0.0319
Li 0.3444 0.5000 0.5330
Li 0.3632 0.5000 0.5900
Li 0.3835 0.0000 0.1511
Li 0.3834 0.5000 0.6506
Li 0.4036 0.0000 0.2116
Li 0.4215 0.5000 0.7648
Li 0.4226 0.0000 0.2689
Li 0.4392 0.5000 0.8181
Li 0.4599 0.0000 0.3810
Zr 0.1532 0.5000 0.9610
Zr 0.4614 0.5000 0.8849
P 0.0190 0.5000 0.5582
P 0.0557 0.0000 0.1677
P 0.0956 0.5000 0.7867
P 0.1334 0.0000 0.4009
P 0.1723 0.5000 0.0176
P 0.2114 0.0000 0.6344
P 0.2480 0.5000 0.2437
P 0.2874 0.0000 0.8620
P 0.3252 0.5000 0.4772
P 0.3635 0.0000 0.0909
P 0.4033 0.5000 0.7105
P 0.4418 0.0000 0.3247
P 0.4805 0.5000 0.9417

Peak list (8 most intense, 10° ≤ 2θ ≤ 90°, by angle)
2θ (°)  I/Imax  h k l
25.44  17  2 0 -4
25.58  31  0 0 13
26.03  100  2 0 -5
42.68  73  1 1 17
43.26  84  0 2 0
50.42  19  1 1 -22
62.39  23  4 0 16
78.94  23  4 2 16

***

Calculated PXRD pattern of LiPaRu2 for Cu Kα (weighted mean of Kα1 and Kα2), from DFT lattice parameters and positions (PBE).

Crystal structure
Unit cell a=6.4147 b=6.4147 c=6.4147 alpha=90.00 beta=90.00 gamma=90.00
Space group Fm-3m (No. 225)
One atom of each set of equivalent atoms:
Li 0.0000 0.0000 0.0000
Pa 0.0000 0.0000 0.5000
Ru 0.2500 0.2500 0.2500

Peak list (8 most intense, 10° ≤ 2θ ≤ 90°, by angle)
2θ (°)  I/Imax  h k l
24.03  62  1 1 1
39.74  100  2 2 0
46.98  32  3 1 1
57.46  17  4 0 0
63.18  14  3 3 1
72.14  35  4 2 2
77.29  10  5 1 1
85.66  11  4 4 0

***

Calculated PXRD pattern of Li8Pb3 for Cu Kα (weighted mean of Kα1 and Kα2), from DFT lattice parameters and positions (PBE).

Crystal structure
Unit cell a=4.7658 b=4.7658 c=32.2630 alpha=90.00 beta=90.00 gamma=120.00
Space group R-3m (No. 166, hexagonal axes)
One atom of each set of equivalent atoms:
Li 0.0000 0.0000 0.0890
Li 0.0000 0.0000 0.1793
Li 0.0000 0.0000 0.2728
Li 0.0000 0.0000 0.3616
Pb 0.0000 0.0000 0.0000
Pb 0.0000 0.0000 0.4527

Peak list (8 most intense, 10° ≤ 2θ ≤ 90°, by angle)
2θ (°)  I/Imax  h k l
22.23  100  0 1 2
24.22  35  1 0 4
24.84  28  0 0 9
29.04  29  1 0 7
37.62  41  0 1 11
37.75  41  1 1 0
45.72  35  1 1 9
68.10  22  3 0 0

***

Calculated PXRD pattern of Li7Pb2 for Cu Kα (weighted mean of Kα1 and Kα2), from DFT lattice parameters and positions (PBE).

Crystal structure
Unit cell a=4.7518 b=4.7518 c=8.5920 alpha=90.00 beta=90.00 gamma=120.00
Space group P-3m1 (No. 164)
One atom of each set of equivalent atoms:
Li 0.0000 0.0000 0.0000
Li 0.0000 0.0000 0.3244
Li 0.3333 0.6667 0.5767
Li 0.3333 0.6667 0.8976
Pb 0.3333 0.6667 0.2367

Peak list (8 most intense, 10° ≤ 2θ ≤ 90°, by angle)
2θ (°)  I/Imax  h k l
20.68  31  0 0 2
21.59  21  1 0 0
23.98  100  1 0 1
30.07  20  0 1 2
37.87  26  1 1 0
38.29  35  1 0 3
43.53  29  1 1 2
45.32  19  0 2 1

***

Calculated PXRD pattern of Li10Pb3 for Cu Kα (weighted mean of Kα1 and Kα2), from DFT lattice parameters and positions (PBE).

Crystal structure
Unit cell a=10.1101 b=10.1101 c=10.1101 alpha=90.00 beta=90.00 gamma=90.00
Space group P-43m (No. 215)
One atom of each set of equivalent atoms:
Li 0.0000 0.0000 0.3491
Li 0.1115 0.1115 0.1115
Li 0.1411 0.5000 0.5000
Li 0.1814 0.1814 0.8186
Li 0.1896 0.1896 0.5312
Li 0.3180 0.3180 0.3180
Li 0.3946 0.3946 0.6054
Pb 0.0330 0.3134 0.3134

Peak list (8 most intense, 10° ≤ 2θ ≤ 90°, by angle)
2θ (°)  I/Imax  h k l
12.38  35  1 1 0
19.63  41  2 1 0
21.53  25  2 1 1
26.45  100  3 0 0
33.15  31  3 2 1
37.75  65  3 3 0
49.37  22  5 2 1
51.96  28  4 4 1